For Li4VCrTe2O12, a PBE+U-relaxed structure gives the computed PXRD pattern in this record (Cu Kα (λ = 1.5418 Å)).
Peak positions follow from Bragg's law for the DFT cell and can differ from measured ones.

Principal peaks in the range 10 to 80 degrees two-theta, in order of falling intensity:
d (Å)	two_theta	I/Imax	h k l
3.705	24.0	100	1 -1 0
2.680	33.4	54	1 -1 2
3.689	24.1	50	1 1 0
4.206	21.1	30	1 0 1
1.688	54.3	27	1 -3 0
2.559	35.1	22	1 1 2
1.853	49.2	19	2 -2 0
2.103	43.0	17	2 0 2
2.224	40.6	17	1 0 3
1.683	54.5	13	2 2 -2

a = 5.103 Å, b = 5.371 Å, c = 7.433 Å
α = 93.86°, β = 90.01°, γ = 90.22°
Fractional coordinates of all 20 atoms:
Li 0.000 0.000 0.000
Li 0.001 0.014 0.509
Li 0.496 0.492 0.516
Li 0.503 0.512 0.990
V 0.002 0.567 0.225
Cr 0.500 0.078 0.715
Te 0.007 0.583 0.723
Te 0.497 0.071 0.214
O 0.127 0.603 0.970
O 0.175 0.904 0.271
O 0.190 0.286 0.641
O 0.300 0.771 0.638
O 0.306 0.407 0.270
O 0.374 0.112 0.973
O 0.626 0.107 0.454
O 0.683 0.414 0.762
O 0.699 0.782 0.137
O 0.806 0.291 0.145
O 0.833 0.902 0.761
O 0.878 0.594 0.449